1.
Simulated powder diffraction line list of NdGa4Au6 for λ = 1.5418 Å (Cu Kα), from a DFT-relaxed cell (GGA-PBE, Alexandria).

Principal peaks in the range 15 to 90 degrees two-theta, in order of rising 2θ:
2θ/deg, I (rel.)
24.83, 166
34.60, 1000
36.58, 233
41.69, 180
42.03, 255
42.37, 374
48.52, 196
66.10, 156
66.35, 137
76.57, 132

abc: 7.5052 7.5052 4.2996
angles: 90.00 90.00 120.00
Space group P-6 (No. 174)
Inequivalent atoms, fractional coordinates:
Nd1 0.0000 0.0000 0.0000 (multiplicity 1)
Ga1 0.3333 0.6667 0.0000 (multiplicity 1)
Ga2 0.3958 0.1988 0.5000 (multiplicity 3)
Au1 0.1951 0.3909 0.5000 (multiplicity 3)
Au2 0.5336 0.0717 0.0000 (multiplicity 3)

***

2.
Simulated powder diffraction line list of Y8Ge3Se4S for λ = 1.5418 Å (Cu Kα), from a DFT-relaxed cell (GGA-PBE, Alexandria).

Principal peaks in the range 15 to 90 degrees two-theta, in order of rising 2θ:
2θ/deg, I (rel.)
30.75, 1000
43.96, 357
44.14, 363
54.46, 60
54.76, 188
64.06, 113
72.60, 149
72.86, 156
81.08, 115
81.20, 59

abc: 8.2073 8.2073 20.2197
angles: 90.00 90.00 120.00
Space group R-3m (No. 166, hexagonal axes)
Inequivalent atoms, fractional coordinates:
Y1 0.0000 0.0000 0.2462 (multiplicity 6)
Y2 0.0026 0.5013 0.7548 (multiplicity 18)
Ge1 0.0000 0.5000 0.5000 (multiplicity 9)
Se1 0.0000 0.0000 0.0000 (multiplicity 3)
Se2 0.0000 0.5000 0.0000 (multiplicity 9)
S1 0.0000 0.0000 0.5000 (multiplicity 3)

***

3.
Simulated powder diffraction line list of Tl4InCl6 for λ = 1.5418 Å (Cu Kα), from a DFT-relaxed cell (GGA-PBE, Alexandria).

Principal peaks in the range 15 to 90 degrees two-theta, in order of rising 2θ:
2θ/deg, I (rel.)
19.35, 252
22.91, 491
28.31, 144
30.16, 1000
32.62, 362
39.28, 145
45.96, 170
47.52, 200
48.73, 161
51.95, 168

abc: 8.680 8.680 9.175
angles: 90.00 90.00 90.00
Space group P4/mnc (No. 128)
Inequivalent atoms, fractional coordinates:
Tl1 0.162 0.338 0.250 (multiplicity 8)
In1 0.000 0.000 0.000 (multiplicity 2)
Cl1 0.000 0.000 0.296 (multiplicity 4)
Cl2 0.126 0.697 0.000 (multiplicity 8)

***

4.
Simulated powder diffraction line list of Mg7Si4 for λ = 1.5418 Å (Cu Kα), from a DFT-relaxed cell (GGA-PBE, Alexandria).

Principal peaks in the range 15 to 90 degrees two-theta, in order of rising 2θ:
2θ/deg, I (rel.)
33.51, 443
33.85, 450
33.95, 481
34.92, 1000
35.19, 685
35.59, 409
36.46, 361
37.43, 808
39.89, 404
40.88, 360

abc: 5.422 6.173 13.412
angles: 88.13 81.12 89.72
Space group P1 (No. 1)
Inequivalent atoms, fractional coordinates:
Mg1 0.000 0.000 0.000 (multiplicity 1)
Mg2 0.006 0.491 0.053 (multiplicity 1)
Mg3 0.083 0.484 0.320 (multiplicity 1)
Mg4 0.189 0.969 0.347 (multiplicity 1)
Mg5 0.260 0.559 0.571 (multiplicity 1)
Mg6 0.288 0.068 0.544 (multiplicity 1)
Mg7 0.487 0.227 0.149 (multiplicity 1)
Mg8 0.525 0.744 0.987 (multiplicity 1)
Mg9 0.544 0.252 0.920 (multiplicity 1)
Mg10 0.660 0.747 0.223 (multiplicity 1)
Mg11 0.782 0.788 0.511 (multiplicity 1)
Mg12 0.783 0.543 0.737 (multiplicity 1)
Mg13 0.797 0.290 0.538 (multiplicity 1)
Mg14 0.900 0.023 0.739 (multiplicity 1)
Si1 0.079 0.330 0.855 (multiplicity 1)
Si2 0.155 0.715 0.852 (multiplicity 1)
Si3 0.187 0.807 0.164 (multiplicity 1)
Si4 0.416 0.236 0.719 (multiplicity 1)
Si5 0.441 0.845 0.705 (multiplicity 1)
Si6 0.549 0.467 0.389 (multiplicity 1)
Si7 0.670 0.093 0.362 (multiplicity 1)
Si8 0.969 0.156 0.195 (multiplicity 1)

***

5.
Simulated powder diffraction line list of Th7Tl2Co2 for λ = 1.5418 Å (Cu Kα), from a DFT-relaxed cell (GGA-PBE, Alexandria).

Principal peaks in the range 15 to 90 degrees two-theta, in order of rising 2θ:
2θ/deg, I (rel.)
25.47, 273
26.95, 807
29.08, 619
30.12, 391
31.19, 831
34.08, 225
36.71, 384
37.58, 1000
52.79, 297
59.78, 257

abc: 8.102 11.470 6.933
angles: 90.00 90.00 90.00
Space group Cmmm (No. 65)
Inequivalent atoms, fractional coordinates:
Th1 0.000 0.000 0.000 (multiplicity 2)
Th2 0.000 0.500 0.228 (multiplicity 4)
Th3 0.250 0.250 0.251 (multiplicity 8)
Tl1 0.175 0.000 0.500 (multiplicity 4)
Co1 0.000 0.267 0.000 (multiplicity 4)

***

6.
Simulated powder diffraction line list of Pm5NdHo12 for λ = 1.5418 Å (Cu Kα), from a DFT-relaxed cell (GGA-PBE, Alexandria).

Principal peaks in the range 15 to 90 degrees two-theta, in order of rising 2θ:
2θ/deg, I (rel.)
30.05, 241
30.98, 303
32.06, 1000
34.85, 132
43.71, 174
48.15, 80
54.64, 115
55.79, 209
58.37, 90
67.04, 88

abc: 11.339 17.318 5.947
angles: 90.00 90.00 90.00
Space group C2/m (No. 12)
Inequivalent atoms, fractional coordinates:
Pm1 0.000 0.000 0.000 (multiplicity 2)
Pm2 0.000 0.168 0.500 (multiplicity 4)
Pm3 0.000 0.333 0.000 (multiplicity 4)
Nd1 0.000 0.500 0.500 (multiplicity 2)
Ho1 0.176 0.000 0.450 (multiplicity 4)
Ho2 0.177 0.500 0.050 (multiplicity 4)
Ho3 0.178 0.167 0.053 (multiplicity 8)
Ho4 0.178 0.333 0.447 (multiplicity 8)

***

7.
Simulated powder diffraction line list of LiCeFe for λ = 1.5418 Å (Cu Kα), from a DFT-relaxed cell (GGA-PBE, Alexandria).

Principal peaks in the range 15 to 90 degrees two-theta, in order of rising 2θ:
2θ/deg, I (rel.)
18.86, 449
20.62, 1000
26.45, 456
34.04, 826
34.47, 685
36.93, 183
37.12, 507
38.38, 270
48.37, 424
54.44, 216

abc: 9.950 4.844 4.752
angles: 90.00 108.92 90.00
Space group C2/m (No. 12)
Inequivalent atoms, fractional coordinates:
Li1 0.032 0.000 0.290 (multiplicity 4)
Ce1 0.187 0.500 0.165 (multiplicity 4)
Fe1 0.111 0.500 0.699 (multiplicity 4)

***

8.
Simulated powder diffraction line list of Er6Ga2Ir for λ = 1.5418 Å (Cu Kα), from a DFT-relaxed cell (GGA-PBE, Alexandria).

Principal peaks in the range 15 to 90 degrees two-theta, in order of rising 2θ:
2θ/deg, I (rel.)
28.20, 290
28.56, 247
31.19, 361
32.10, 333
32.96, 254
33.05, 273
34.08, 465
34.77, 286
35.75, 1000
52.59, 274

abc: 5.933 8.316 10.862
angles: 90.00 119.23 90.00
Space group P2_1/c (No. 14)
Inequivalent atoms, fractional coordinates:
Er1 0.056 0.180 0.444 (multiplicity 4)
Er2 0.336 0.673 0.441 (multiplicity 4)
Er3 0.379 0.031 0.267 (multiplicity 4)
Ga1 0.174 0.124 0.754 (multiplicity 4)
Ir1 0.000 0.000 0.000 (multiplicity 2)

***

9.
Simulated powder diffraction line list of AcAs4Pd12 for λ = 1.5418 Å (Cu Kα), from a DFT-relaxed cell (GGA-PBE, Alexandria).

Principal peaks in the range 15 to 90 degrees two-theta, in order of rising 2θ:
2θ/deg, I (rel.)
32.78, 1000
39.01, 526
47.04, 106
51.85, 305
54.13, 301
62.71, 106
64.75, 95
74.49, 172
78.25, 83
85.63, 82

abc: 8.639 8.639 8.639
angles: 90.00 90.00 90.00
Space group Im-3 (No. 204)
Inequivalent atoms, fractional coordinates:
Ac1 0.000 0.000 0.000 (multiplicity 2)
As1 0.250 0.250 0.250 (multiplicity 8)
Pd1 0.000 0.166 0.344 (multiplicity 24)

***

10.
Simulated powder diffraction line list of Pa2CoCuNi for λ = 1.5418 Å (Cu Kα), from a DFT-relaxed cell (GGA-PBE, Alexandria).

Principal peaks in the range 15 to 90 degrees two-theta, in order of rising 2θ:
2θ/deg, I (rel.)
25.17, 836
30.55, 440
35.04, 644
35.29, 574
35.85, 317
41.18, 851
41.31, 1000
41.78, 654
42.68, 444
75.92, 332

abc: 6.340 4.324 6.544
angles: 90.00 103.77 90.00
Space group P2_1/m (No. 11)
Inequivalent atoms, fractional coordinates:
Pa1 0.155 0.250 0.341 (multiplicity 2)
Pa2 0.322 0.250 0.960 (multiplicity 2)
Co1 0.115 0.750 0.056 (multiplicity 2)
Cu1 0.309 0.750 0.658 (multiplicity 2)
Ni1 0.467 0.750 0.345 (multiplicity 2)

***

11.
Simulated powder diffraction line list of HfAgBr5 for λ = 1.5418 Å (Cu Kα), from a DFT-relaxed cell (GGA-PBE, Alexandria).

Principal peaks in the range 15 to 90 degrees two-theta, in order of rising 2θ:
2θ/deg, I (rel.)
21.70, 1000
25.08, 842
26.62, 437
28.88, 680
29.48, 720
36.03, 999
36.68, 540
37.39, 672
45.01, 496
46.01, 371

abc: 15.250 6.901 10.178
angles: 90.00 108.99 90.00
Space group C2/c (No. 15)
Inequivalent atoms, fractional coordinates:
Hf1 0.000 0.000 0.000 (multiplicity 4)
Ag1 0.000 0.422 0.250 (multiplicity 4)
Br1 0.000 0.165 0.750 (multiplicity 4)
Br2 0.113 0.277 0.487 (multiplicity 8)
Br3 0.141 0.206 0.126 (multiplicity 8)

***

12.
Simulated powder diffraction line list of Na5Tl8Ag for λ = 1.5418 Å (Cu Kα), from a DFT-relaxed cell (GGA-PBE, Alexandria).

Principal peaks in the range 15 to 90 degrees two-theta, in order of rising 2θ:
2θ/deg, I (rel.)
22.86, 330
23.60, 972
29.18, 512
30.75, 566
30.94, 703
35.29, 1000
36.13, 648
36.63, 658
48.29, 390
50.82, 343

abc: 9.140 9.140 9.745
angles: 90.00 90.00 90.00
Space group I-4 (No. 82)
Inequivalent atoms, fractional coordinates:
Na1 0.000 0.000 0.000 (multiplicity 2)
Na2 0.115 0.272 0.325 (multiplicity 8)
Tl1 0.080 0.191 0.658 (multiplicity 8)
Tl2 0.083 0.335 0.999 (multiplicity 8)
Ag1 0.000 0.500 0.750 (multiplicity 2)